[1]
Theoretical X-ray diffraction stick pattern
Compound: TmHfN
Radiation: Cu Kα X-rays
Structure: a cell relaxed with GGA-PBE

Top 7 peaks for 5° ≤ 2θ ≤ 70°, by angle:
2θ = 33.1°, I 100, hkl 1 0 1; 2θ = 36.8°, I 44, hkl 1 1 0; 2θ = 41.6°, I 16, hkl 0 0 2; 2θ = 53.0°, I 15, hkl 2 0 0; 2θ = 56.7°, I 25, hkl 1 1 2; 2θ = 63.9°, I 31, hkl 2 1 1; 2θ = 69.6°, I 14, hkl 2 0 2

Crystal structure
a = 3.456 Å, b = 3.456 Å, c = 4.339 Å
α = 90.00°, β = 90.00°, γ = 90.00°
Atoms (fractional coordinates):
Tm 0.000 0.000 0.000
Hf 0.500 0.500 0.500
N 0.500 0.500 0.000


[2]
Theoretical X-ray diffraction stick pattern
Compound: Tl5In
Radiation: Cu Kα X-rays
Structure: a cell relaxed with GGA-PBE

Top 12 peaks for 5° ≤ 2θ ≤ 70°, by angle:
2θ = 7.6°, I 2, hkl 0 0 1; 2θ = 23.7°, I 1, hkl 1 0 1; 2θ = 27.3°, I 2, hkl 1 0 2; 2θ = 31.9°, I 52, hkl 1 1 0; 2θ = 32.4°, I 100, hkl 1 0 3; 2θ = 45.7°, I 20, hkl 2 0 0; 2θ = 47.1°, I 9, hkl 0 0 6; 2θ = 51.2°, I 1, hkl 1 1 5; 2θ = 57.1°, I 40, hkl 2 1 3; 2θ = 58.0°, I 19, hkl 1 1 6; 2θ = 66.7°, I 6, hkl 2 2 0; 2θ = 67.8°, I 12, hkl 2 0 6

Crystal structure
a = 3.969 Å, b = 3.969 Å, c = 11.570 Å
α = 90.00°, β = 90.00°, γ = 90.00°
Atoms (fractional coordinates):
Tl 0.000 0.000 0.000
Tl 0.000 0.000 0.340
Tl 0.000 0.000 0.660
Tl 0.500 0.500 0.171
Tl 0.500 0.500 0.829
In 0.500 0.500 0.500


[3]
Theoretical X-ray diffraction stick pattern
Compound: ThAl3Au
Radiation: Cu Kα X-rays
Structure: a cell relaxed with GGA-PBE

Top 12 peaks for 5° ≤ 2θ ≤ 70°, by angle:
2θ = 16.1°, I 21, hkl 0 0 2; 2θ = 21.9°, I 22, hkl 0 1 1; 2θ = 22.4°, I 18, hkl 2 0 1; 2θ = 24.3°, I 19, hkl 1 1 1; 2θ = 26.4°, I 44, hkl 1 0 3; 2θ = 28.1°, I 17, hkl 1 1 2; 2θ = 29.3°, I 51, hkl 2 1 0; 2θ = 33.6°, I 100, hkl 1 1 3; 2θ = 38.8°, I 23, hkl 3 1 1; 2θ = 41.3°, I 25, hkl 0 2 0; 2θ = 49.7°, I 17, hkl 1 2 3; 2θ = 58.8°, I 19, hkl 4 1 4

Crystal structure
a = 8.496 Å, b = 4.370 Å, c = 11.025 Å
α = 90.00°, β = 90.00°, γ = 90.00°
Atoms (fractional coordinates):
Th 0.182 0.250 0.008
Th 0.318 0.750 0.508
Th 0.682 0.250 0.492
Th 0.818 0.750 0.992
Al 0.077 0.250 0.599
Al 0.112 0.750 0.804
Al 0.125 0.750 0.208
Al 0.375 0.250 0.708
Al 0.388 0.250 0.304
Al 0.423 0.750 0.099
Al 0.577 0.250 0.901
Al 0.612 0.750 0.696
Al 0.625 0.750 0.292
Al 0.875 0.250 0.792
Al 0.888 0.250 0.196
Al 0.923 0.750 0.401
Au 0.095 0.250 0.359
Au 0.405 0.750 0.859
Au 0.595 0.250 0.141
Au 0.905 0.750 0.641